Starting from a cell relaxed with GGA+U, the XRD peak list of Cr3NO8 was computed for Cu Kα X-rays.
Peak positions follow from Bragg's law for the DFT cell and can differ from measured ones.

Cell and atoms:
```
Cr3NO8
1.0
4.4615 -2.7225 0.0000
4.4615 2.7225 0.0000
-0.5486 0.0000 8.1394
Cr N O
3 1 8
direct
0.0000 0.0000 0.0000
0.3671 0.3671 0.1910
0.6329 0.6329 0.8090
0.0000 0.0000 0.5000
0.2188 0.2188 0.0556
0.2200 0.7302 0.1622
0.2698 0.7800 0.8378
0.3161 0.3161 0.3739
0.6839 0.6839 0.6261
0.7302 0.2200 0.1622
0.7800 0.2698 0.8378
0.7812 0.7812 0.9444
```

Largest 6 diffraction maxima, in order of rising 2θ, 2θ from 10° to 80°:
8.139 Å, 2θ = 10.9°, intensity 100; 4.097 Å, 2θ = 21.7°, intensity 52; 3.975 Å, 2θ = 22.4°, intensity 15; 3.799 Å, 2θ = 23.4°, intensity 39; 3.116 Å, 2θ = 28.7°, intensity 38; 2.606 Å, 2θ = 34.4°, intensity 22

=====

Starting from a cell relaxed with GGA+U, the XRD peak list of Li2Fe3SnO8 was computed for Cu Kα X-rays.
Peak positions follow from Bragg's law for the DFT cell and can differ from measured ones.

Cell and atoms:
```
Li2Fe3SnO8
1.0
5.1956 -3.0108 0.0000
5.1956 3.0108 0.0000
-3.4796 0.0000 5.0906
Li Fe Sn O
2 3 1 8
direct
0.1244 0.1244 0.3726
0.8756 0.8756 0.6274
0.0000 0.5000 0.0000
0.5000 0.0000 0.0000
0.5000 0.5000 0.0000
0.5000 0.5000 0.5000
0.2575 0.7176 0.2323
0.2578 0.2578 0.2333
0.2654 0.2654 0.7941
0.2824 0.7425 0.7677
0.7176 0.2575 0.2323
0.7346 0.7346 0.2059
0.7422 0.7422 0.7667
0.7425 0.2824 0.7677
```

Largest 6 diffraction maxima, in order of rising 2θ, 2θ from 10° to 80°:
4.927 Å, 2θ = 18.0°, intensity 100; 2.634 Å, 2θ = 34.0°, intensity 20; 2.590 Å, 2θ = 34.6°, intensity 25; 2.153 Å, 2θ = 42.0°, intensity 36; 2.145 Å, 2θ = 42.1°, intensity 18; 1.539 Å, 2θ = 60.1°, intensity 18

=====

Starting from a cell relaxed with GGA+U, the XRD peak list of Sr2TbCrO6 was computed for Cu Kα X-rays.
Peak positions follow from Bragg's law for the DFT cell and can differ from measured ones.

Cell and atoms:
```
Sr2TbCrO6
1.0
0.0000 4.1069 4.1069
4.1069 0.0000 4.1069
4.1069 4.1069 0.0000
Sr Tb Cr O
2 1 1 6
direct
0.2500 0.2500 0.2500
0.7500 0.7500 0.7500
0.0000 0.0000 0.0000
0.5000 0.5000 0.5000
0.2697 0.2697 0.7303
0.2697 0.7303 0.2697
0.2697 0.7303 0.7303
0.7303 0.2697 0.2697
0.7303 0.2697 0.7303
0.7303 0.7303 0.2697
```

Largest 6 diffraction maxima, in order of rising 2θ, 2θ from 10° to 80°:
4.742 Å, 2θ = 18.7°, intensity 14; 2.904 Å, 2θ = 30.8°, intensity 100; 2.053 Å, 2θ = 44.1°, intensity 33; 1.677 Å, 2θ = 54.7°, intensity 39; 1.452 Å, 2θ = 64.1°, intensity 20; 1.299 Å, 2θ = 72.8°, intensity 18

=====

Starting from a cell relaxed with GGA+U, the XRD peak list of Mn4O7F was computed for Cu Kα X-rays.
Peak positions follow from Bragg's law for the DFT cell and can differ from measured ones.

Cell and atoms:
```
Mn4O7F
1.0
4.4767 0.0000 0.0000
0.0000 10.9884 0.0000
-0.0006 0.0000 4.9788
Mn O F
8 14 2
direct
0.0031 0.0000 0.0014
0.0197 0.1416 0.5052
0.4866 0.4049 0.5036
0.4927 0.2496 0.9862
0.5073 0.7496 0.0138
0.5134 0.9049 0.4964
0.9803 0.6416 0.4948
0.9969 0.5000 0.9986
0.2205 0.5199 0.6735
0.2265 0.6281 0.1752
0.2392 0.0166 0.6744
0.2413 0.1275 0.1700
0.2653 0.3781 0.1696
0.2689 0.8790 0.1767
0.2710 0.2663 0.6649
0.7290 0.7663 0.3351
0.7311 0.3790 0.8233
0.7347 0.8781 0.8304
0.7587 0.6275 0.8300
0.7608 0.5166 0.3256
0.7735 0.1281 0.8248
0.7795 0.0199 0.3265
0.2540 0.7628 0.6734
0.7460 0.2628 0.3266
```

Largest 6 diffraction maxima, in order of rising 2θ, 2θ from 10° to 80°:
3.470 Å, 2θ = 25.7°, intensity 58; 2.847 Å, 2θ = 31.4°, intensity 100; 2.405 Å, 2θ = 37.4°, intensity 23; 2.023 Å, 2θ = 44.8°, intensity 18; 1.664 Å, 2θ = 55.2°, intensity 24; 1.639 Å, 2θ = 56.1°, intensity 39

=====

Starting from a cell relaxed with GGA+U, the XRD peak list of Li3FeP2HO8 was computed for Cu Kα X-rays.
Peak positions follow from Bragg's law for the DFT cell and can differ from measured ones.

Cell and atoms:
```
Li3FeP2HO8
1.0
5.0362 0.0000 0.0000
1.9765 4.6928 0.0000
0.0200 0.1047 6.2707
Li Fe P H O
3 1 2 1 8
direct
0.0000 0.0000 0.0000
0.3804 0.2261 0.7431
0.6196 0.7739 0.2569
0.0000 0.0000 0.5000
0.3568 0.3584 0.2536
0.6432 0.6416 0.7464
0.0000 0.5000 0.0000
0.2163 0.2957 0.0436
0.2389 0.2463 0.4464
0.2707 0.6853 0.2629
0.3136 0.8096 0.7624
0.6864 0.1904 0.2376
0.7293 0.3147 0.7371
0.7611 0.7537 0.5536
0.7837 0.7044 0.9564
```

Largest 6 diffraction maxima, in order of rising 2θ, 2θ from 10° to 80°:
6.271 Å, 2θ = 14.1°, intensity 54; 3.787 Å, 2θ = 23.5°, intensity 90; 3.725 Å, 2θ = 23.9°, intensity 74; 3.481 Å, 2θ = 25.6°, intensity 100; 2.801 Å, 2θ = 32.0°, intensity 45; 2.592 Å, 2θ = 34.6°, intensity 68

=====

Starting from a cell relaxed with GGA+U, the XRD peak list of CsTaWO6 was computed for Cu Kα X-rays.
Peak positions follow from Bragg's law for the DFT cell and can differ from measured ones.

Cell and atoms:
```
CsTaWO6
1.0
-3.7157 3.7276 5.2721
3.7157 -3.7276 5.2721
3.7157 3.7276 -5.2721
Cs Ta W O
2 2 2 12
direct
0.3757 0.1257 0.2500
0.6243 0.8743 0.7500
0.0000 0.5000 0.5000
0.5000 0.5000 0.0000
0.0000 0.0000 0.5000
0.0000 0.5000 0.0000
0.0589 0.8089 0.2500
0.0598 0.4383 0.2440
0.0598 0.8158 0.6215
0.3058 0.1842 0.7440
0.3058 0.5617 0.1215
0.3129 0.5629 0.7500
0.6871 0.4371 0.2500
0.6942 0.4383 0.8785
0.6942 0.8158 0.2560
0.9402 0.1842 0.3785
0.9402 0.5617 0.7560
0.9411 0.1911 0.7500
```

Largest 6 diffraction maxima, in order of rising 2θ, 2θ from 10° to 80°:
6.081 Å, 2θ = 14.6°, intensity 29; 3.176 Å, 2θ = 28.1°, intensity 100; 3.040 Å, 2θ = 29.4°, intensity 51; 2.028 Å, 2θ = 44.7°, intensity 21; 1.863 Å, 2θ = 48.9°, intensity 32; 1.372 Å, 2θ = 68.4°, intensity 15